Starting from DFT lattice parameters and positions (GGA-PBE), the XRD peak list of RbAlRe was computed for Cu Ka.

Principal peaks in the range 10° ≤ 2θ ≤ 90°, low angle first:
- hkl 0 0 2, 6.097 Å, 2θ 14.53, I = 67.0
- hkl 0 0 3, 4.065 Å, 2θ 21.86, I = 100.0
- hkl 1 0 -2, 3.049 Å, 2θ 29.29, I = 48.9
- hkl 1 1 3, 2.929 Å, 2θ 30.52, I = 43.3
- hkl 1 -1 0, 2.136 Å, 2θ 42.31, I = 54.7
- hkl 1 2 0, 2.122 Å, 2θ 42.61, I = 33.1

a = 4.273 Å, b = 4.274 Å, c = 12.313 Å
α = 83.59°, β = 82.77°, γ = 60.04°
Positions (direct):
Rb 0.249 0.276 0.314
Rb 0.751 0.724 0.686
Al 0.028 0.020 0.894
Al 0.972 0.980 0.106
Re 0.340 0.338 0.976
Re 0.660 0.662 0.024